Entry 1:
This entry pairs a crystal structure of Hf3As4C4 with its computed powder X-ray diffraction pattern. Radiation: λ = 1.5418 Å (Cu Kα). Structure: a DFT-relaxed cell (GGA-PBE, OQMD).

Peak list (10 most intense, 15° ≤ 2θ ≤ 90°, in order of falling intensity)
hkl 0 1 2, 35.67 deg, rel. 100; hkl 1 0 2, 28.30 deg, rel. 44; hkl 1 1 1, 32.82 deg, rel. 42; hkl 1 1 -2, 37.20 deg, rel. 40; hkl 2 1 -1, 39.12 deg, rel. 40; hkl 2 0 0, 26.95 deg, rel. 34; hkl 2 1 0, 38.30 deg, rel. 32; hkl 3 0 0, 40.92 deg, rel. 32; hkl 1 0 3, 39.33 deg, rel. 30; hkl 3 1 2, 57.72 deg, rel. 28

Cell and atoms:
```
data_Hf3As4C4
_symmetry_space_group_name_H-M 'P 1'
_symmetry_Int_Tables_number 1
_symmetry_space_group_name_Hall 'P 1'
_cell_length_a 6.665
_cell_length_b 3.340
_cell_length_c 7.713
_cell_angle_alpha 90.00
_cell_angle_beta 96.92
_cell_angle_gamma 90.00
loop_
_atom_site_label
_atom_site_fract_x
_atom_site_fract_y
_atom_site_fract_z
Hf1 0.000 0.000 0.000
Hf2 0.045 0.000 0.430
Hf3 0.652 0.500 0.154
As1 0.273 0.500 0.272
As2 0.423 0.000 0.815
As3 0.630 0.000 0.452
As4 0.992 0.500 0.710
C1 0.258 0.500 0.876
C2 0.385 0.000 0.558
C3 0.665 0.000 0.974
C4 0.972 0.500 0.200
```

Entry 2:
This entry pairs a crystal structure of BeSb2Ir with its computed powder X-ray diffraction pattern. Radiation: λ = 1.5418 Å (Cu Kα). Structure: a DFT-relaxed cell (GGA-PBE, OQMD).

Peak list (10 most intense, 15° ≤ 2θ ≤ 90°, in order of falling intensity)
hkl 2 2 0, 38.03 deg, rel. 100; hkl 4 2 2, 68.72 deg, rel. 35; hkl 1 1 1, 23.02 deg, rel. 22; hkl 2 0 0, 26.64 deg, rel. 22; hkl 4 0 0, 54.88 deg, rel. 17; hkl 3 1 1, 44.92 deg, rel. 12; hkl 4 4 0, 81.34 deg, rel. 11; hkl 4 2 0, 62.02 deg, rel. 9; hkl 2 2 2, 47.04 deg, rel. 6; hkl 3 3 1, 60.28 deg, rel. 5

Cell and atoms:
```
data_BeSb2Ir
_symmetry_space_group_name_H-M 'P 1'
_symmetry_Int_Tables_number 1
_symmetry_space_group_name_Hall 'P 1'
_cell_length_a 6.692
_cell_length_b 6.692
_cell_length_c 6.692
_cell_angle_alpha 90.00
_cell_angle_beta 90.00
_cell_angle_gamma 90.00
loop_
_atom_site_label
_atom_site_fract_x
_atom_site_fract_y
_atom_site_fract_z
Be1 0.000 0.000 0.000
Be2 0.000 0.500 0.500
Be3 0.500 0.000 0.500
Be4 0.500 0.500 0.000
Sb1 0.000 0.000 0.500
Sb2 0.000 0.500 0.000
Sb3 0.250 0.250 0.750
Sb4 0.250 0.750 0.250
Sb5 0.500 0.000 0.000
Sb6 0.500 0.500 0.500
Sb7 0.750 0.250 0.250
Sb8 0.750 0.750 0.750
Ir1 0.250 0.250 0.250
Ir2 0.250 0.750 0.750
Ir3 0.750 0.250 0.750
Ir4 0.750 0.750 0.250
```

Entry 3:
This entry pairs a crystal structure of LuCdNO with its computed powder X-ray diffraction pattern. Radiation: λ = 1.5418 Å (Cu Kα). Structure: a DFT-relaxed cell (GGA-PBE, OQMD).

Peak list (10 most intense, 15° ≤ 2θ ≤ 90°, in order of falling intensity)
hkl 1 1 1, 32.13 deg, rel. 100; hkl 0 0 2, 32.33 deg, rel. 38; hkl 0 2 1, 33.33 deg, rel. 26; hkl 0 2 0, 29.04 deg, rel. 26; hkl 1 1 3, 57.53 deg, rel. 23; hkl 1 1 0, 27.67 deg, rel. 21; hkl 1 3 0, 50.64 deg, rel. 20; hkl 1 3 2, 61.37 deg, rel. 20; hkl 0 2 2, 44.00 deg, rel. 15; hkl 2 0 0, 48.08 deg, rel. 14

Cell and atoms:
```
data_LuCdNO
_symmetry_space_group_name_H-M 'P 1'
_symmetry_Int_Tables_number 1
_symmetry_space_group_name_Hall 'P 1'
_cell_length_a 3.785
_cell_length_b 6.150
_cell_length_c 5.539
_cell_angle_alpha 90.00
_cell_angle_beta 90.00
_cell_angle_gamma 90.00
loop_
_atom_site_label
_atom_site_fract_x
_atom_site_fract_y
_atom_site_fract_z
Lu1 0.000 0.182 0.000
Lu2 0.000 0.818 0.500
Cd1 0.500 0.308 0.489
Cd2 0.500 0.692 0.989
N1 0.000 0.155 0.393
N2 0.000 0.845 0.893
O1 0.500 0.324 0.917
O2 0.500 0.676 0.417
```

Entry 4:
This entry pairs a crystal structure of DyAuSO with its computed powder X-ray diffraction pattern. Radiation: λ = 1.5418 Å (Cu Kα). Structure: a DFT-relaxed cell (GGA-PBE, OQMD).

Peak list (10 most intense, 15° ≤ 2θ ≤ 90°, in order of falling intensity)
hkl 1 1 -2, 27.59 deg, rel. 100; hkl 1 1 3, 34.06 deg, rel. 89; hkl 1 1 -3, 33.29 deg, rel. 85; hkl 1 1 2, 28.20 deg, rel. 81; hkl 2 2 0, 45.55 deg, rel. 80; hkl 1 1 0, 22.32 deg, rel. 60; hkl 0 2 1, 32.89 deg, rel. 59; hkl 0 1 1, 17.79 deg, rel. 51; hkl 0 0 5, 42.09 deg, rel. 47; hkl 1 1 1, 24.01 deg, rel. 39

Cell and atoms:
```
data_DyAuSO
_symmetry_space_group_name_H-M 'P 1'
_symmetry_Int_Tables_number 1
_symmetry_space_group_name_Hall 'P 1'
_cell_length_a 5.637
_cell_length_b 5.631
_cell_length_c 10.740
_cell_angle_alpha 90.00
_cell_angle_beta 91.81
_cell_angle_gamma 90.00
loop_
_atom_site_label
_atom_site_fract_x
_atom_site_fract_y
_atom_site_fract_z
Dy1 0.005 0.000 0.099
Dy2 0.495 0.000 0.900
Dy3 0.505 0.500 0.100
Dy4 0.995 0.500 0.901
Au1 0.002 0.020 0.720
Au2 0.314 0.273 0.503
Au3 0.686 0.773 0.497
Au4 0.998 0.520 0.280
S1 0.293 0.231 0.289
S2 0.299 0.310 0.717
S3 0.701 0.810 0.283
S4 0.707 0.731 0.711
O1 0.249 0.249 0.001
O2 0.252 0.749 0.000
O3 0.748 0.249 0.000
O4 0.751 0.749 0.999
```

Entry 5:
This entry pairs a crystal structure of SmErMg6 with its computed powder X-ray diffraction pattern. Radiation: λ = 1.5418 Å (Cu Kα). Structure: a DFT-relaxed cell (GGA-PBE, OQMD).

Peak list (10 most intense, 15° ≤ 2θ ≤ 90°, in order of falling intensity)
hkl 1 1 0, 20.98 deg, rel. 100; hkl 1 2 1, 34.54 deg, rel. 92; hkl 2 0 0, 34.71 deg, rel. 45; hkl 2 1 1, 40.91 deg, rel. 36; hkl 1 0 1, 24.35 deg, rel. 35; hkl 3 2 1, 62.11 deg, rel. 33; hkl 1 3 0, 40.62 deg, rel. 19; hkl 0 2 0, 24.12 deg, rel. 18; hkl 2 4 0, 61.79 deg, rel. 17; hkl 2 2 0, 42.72 deg, rel. 16

Cell and atoms:
```
data_SmErMg6
_symmetry_space_group_name_H-M 'P 1'
_symmetry_Int_Tables_number 1
_symmetry_space_group_name_Hall 'P 1'
_cell_length_a 5.169
_cell_length_b 7.379
_cell_length_c 5.169
_cell_angle_alpha 90.00
_cell_angle_beta 90.00
_cell_angle_gamma 90.00
loop_
_atom_site_label
_atom_site_fract_x
_atom_site_fract_y
_atom_site_fract_z
Sm1 0.000 0.000 0.000
Er1 0.500 0.500 0.493
Mg1 0.000 0.256 0.501
Mg2 0.000 0.500 0.000
Mg3 0.000 0.744 0.501
Mg4 0.500 0.000 0.494
Mg5 0.500 0.256 0.993
Mg6 0.500 0.744 0.993
```